1.
BaSr2Mg: computed X-ray powder pattern (Cu Ka), based on a PBE-relaxed structure.
Kinematic intensities with the Lorentz-polarization factor, no thermal factor.

Main lines, by angle (2θ = 10–80°):
(1 1 2), 2θ 22.5, I 31
(0 0 6), 2θ 25.3, I 20
(1 1 4), 2θ 26.8, I 100
(2 0 0), 2θ 29.6, I 51
(2 0 6), 2θ 39.3, I 24
(2 2 0), 2θ 42.4, I 19
(1 1 10), 2θ 48.0, I 19
(2 2 6), 2θ 50.0, I 12
(3 1 4), 2θ 50.9, I 34
(3 1 10), 2θ 65.9, I 15

Structural model:
```
data_BaSr2Mg
_chemical_formula_sum 'Ba4 Sr8 Mg4'
_cell_length_a 6.0336
_cell_length_b 6.0336
_cell_length_c 21.1620
_cell_angle_alpha 90.00
_cell_angle_beta 90.00
_cell_angle_gamma 90.00
_symmetry_space_group_name_H-M 'I 4/m m m'
_symmetry_Int_Tables_number 139
_symmetry_space_group_name_Hall '-I 4 2'
loop_
_atom_site_label
_atom_site_fract_x
_atom_site_fract_y
_atom_site_fract_z
Ba1 0.0000 0.0000 0.1490
Sr1 0.0000 0.0000 0.3485
Sr2 0.0000 0.5000 0.0000
Mg1 0.0000 0.5000 0.2500
```

2.
Ba6Sr3Mg: computed X-ray powder pattern (Cu Ka), based on a PBE-relaxed structure.
Kinematic intensities with the Lorentz-polarization factor, no thermal factor.

Main lines, by angle (2θ = 10–80°):
(0 1 3), 2θ 23.6, I 5
(3 1 -1), 2θ 25.6, I 100
(0 2 0), 2θ 27.4, I 24
(2 0 -4), 2θ 27.5, I 21
(4 0 2), 2θ 33.7, I 9
(2 2 -4), 2θ 39.2, I 16
(4 2 2), 2θ 43.9, I 12
(3 3 -1), 2θ 47.3, I 19
(1 1 -7), 2θ 47.5, I 7
(5 1 -5), 2θ 47.6, I 9

Structural model:
```
data_Ba6Sr3Mg
_chemical_formula_sum 'Ba12 Sr6 Mg2'
_cell_length_a 12.4453
_cell_length_b 6.5197
_cell_length_c 14.0299
_cell_angle_alpha 90.00
_cell_angle_beta 98.81
_cell_angle_gamma 90.00
_symmetry_space_group_name_H-M 'P 1 21/m 1'
_symmetry_Int_Tables_number 11
_symmetry_space_group_name_Hall '-P 2yb'
loop_
_atom_site_label
_atom_site_fract_x
_atom_site_fract_y
_atom_site_fract_z
Ba1 0.0494 0.2500 0.3821
Ba2 0.1234 0.7500 0.1643
Ba3 0.1425 0.2500 0.6857
Ba4 0.2075 0.2500 0.9860
Ba5 0.3247 0.7500 0.7989
Ba6 0.4438 0.2500 0.5954
Sr1 0.2410 0.7500 0.4829
Sr2 0.3531 0.2500 0.2841
Sr3 0.4569 0.7500 0.0976
Mg1 0.0512 0.7500 0.8805
```